Structure and calculated XRD peak list of Ba2CdN2 (a structure optimized by DFT (PBE); Cu Kα (weighted mean of Kα1 and Kα2)).
Intensities are scaled so that the largest is 100.

The 12 most intense peaks (2θ from 10° to 90°), sorted by position:
2θ 28.54, rel. 100; 2θ 29.80, rel. 61; 2θ 38.89, rel. 14; 2θ 42.64, rel. 22; 2θ 49.74, rel. 26; 2θ 52.11, rel. 38; 2θ 59.07, rel. 15; 2θ 64.20, rel. 10; 2θ 70.18, rel. 10; 2θ 80.16, rel. 11; 2θ 83.26, rel. 12; 2θ 85.11, rel. 10

Crystal structure
```
5
Lattice="-2.1203 2.1203 6.9480 2.1203 -2.1203 6.9480 2.1203 2.1203 -6.9480" Properties=species:S:1:pos:R:3 pbc="T T T"
Ba 0.0000 0.0000 2.2411
Ba 0.0000 0.0000 11.6548
Cd 0.0000 0.0000 6.9480
N 0.0000 0.0000 4.8709
N 0.0000 0.0000 9.0251
```


Structure and calculated XRD peak list of Ba3Nb2CdO9 (a structure optimized by DFT (PBE); Cu Kα (weighted mean of Kα1 and Kα2)).
Intensities are scaled so that the largest is 100.

The 12 most intense peaks (2θ from 10° to 90°), sorted by position:
2θ 29.74, rel. 100; 2θ 29.90, rel. 98; 2θ 42.68, rel. 61; 2θ 52.67, rel. 20; 2θ 52.98, rel. 39; 2θ 53.08, rel. 19; 2θ 61.75, rel. 19; 2θ 62.13, rel. 19; 2θ 70.11, rel. 18; 2θ 70.38, rel. 17; 2θ 85.35, rel. 11; 2θ 86.05, rel. 21

Crystal structure
```
15
Lattice="5.9763 0.0000 0.0000 -2.9882 5.1757 0.0000 0.0000 0.0000 7.3793" Properties=species:S:1:pos:R:3 pbc="T T T"
Ba 0.0000 0.0000 0.0000
Ba 0.0000 3.4504 4.9325
Ba 2.9882 1.7252 2.4468
Nb 0.0000 3.4504 1.2537
Nb 2.9882 1.7252 6.1256
Cd 0.0000 0.0000 3.6896
O -1.4941 2.5878 0.0000
O 0.0000 1.8232 2.3170
O -1.4092 4.2640 2.3170
O 1.5790 0.9116 5.0623
O 2.9882 0.0000 0.0000
O 1.4941 2.5878 0.0000
O 1.4092 4.2640 2.3170
O 4.3974 0.9116 5.0623
O 2.9882 3.3524 5.0623
```


Structure and calculated XRD peak list of BaCdO3 (a structure optimized by DFT (PBE); Cu Kα (weighted mean of Kα1 and Kα2)).
Intensities are scaled so that the largest is 100.

The 9 most intense peaks (2θ from 10° to 90°), sorted by position:
2θ 29.36, rel. 100; 2θ 36.16, rel. 3; 2θ 42.00, rel. 31; 2θ 52.07, rel. 40; 2θ 60.90, rel. 19; 2θ 69.03, rel. 17; 2θ 72.92, rel. 1; 2θ 76.73, rel. 6; 2θ 84.20, rel. 21

Crystal structure
```
5
Lattice="4.3027 0.0000 0.0000 0.0000 4.3027 0.0000 0.0000 0.0000 4.3027" Properties=species:S:1:pos:R:3 pbc="T T T"
Ba 0.0000 0.0000 0.0000
Cd 2.1513 2.1513 2.1513
O 0.0000 2.1513 2.1513
O 2.1513 0.0000 2.1513
O 2.1513 2.1513 0.0000
```


Structure and calculated XRD peak list of Ba2CdP3O11 (a structure optimized by DFT (PBE); Cu Kα (weighted mean of Kα1 and Kα2)).
Intensities are scaled so that the largest is 100.

The 12 most intense peaks (2θ from 10° to 90°), sorted by position:
2θ 19.72, rel. 27; 2θ 24.08, rel. 19; 2θ 24.56, rel. 37; 2θ 24.81, rel. 37; 2θ 27.20, rel. 100; 2θ 28.11, rel. 30; 2θ 29.68, rel. 29; 2θ 29.89, rel. 44; 2θ 31.52, rel. 42; 2θ 42.74, rel. 32; 2θ 43.01, rel. 26; 2θ 47.48, rel. 18

Crystal structure
```
17
Lattice="7.0133 -2.8383 0.0000 7.0133 2.8383 0.0000 -3.7861 0.0000 6.3483" Properties=species:S:1:pos:R:3 pbc="T T T"
Ba 0.0000 0.0000 0.0000
Ba 6.2818 0.0000 3.6656
Cd 2.2714 0.0000 3.2757
P 0.7916 0.0000 5.9415
P 8.9157 0.0000 1.2510
P 11.3141 0.0000 2.9305
O -1.2326 0.0000 2.5802
O 1.1552 1.2463 5.0732
O 3.8910 1.5738 3.7149
O -0.7154 0.0000 6.2861
O 5.4117 0.0000 0.8978
O 8.3210 1.2535 1.9365
O 1.1552 -1.2463 5.0732
O 4.9243 0.0000 6.1008
O 3.8910 -1.5738 3.7149
O 10.5208 0.0000 1.5135
O 8.3210 -1.2535 1.9365
```


Structure and calculated XRD peak list of Ba5Cd2Sb4O2 (a structure optimized by DFT (PBE); Cu Kα (weighted mean of Kα1 and Kα2)).
Intensities are scaled so that the largest is 100.

The 12 most intense peaks (2θ from 10° to 90°), sorted by position:
2θ 27.27, rel. 100; 2θ 27.90, rel. 75; 2θ 29.16, rel. 20; 2θ 30.42, rel. 51; 2θ 30.58, rel. 44; 2θ 30.74, rel. 20; 2θ 31.33, rel. 69; 2θ 35.81, rel. 59; 2θ 46.77, rel. 29; 2θ 47.79, rel. 25; 2θ 48.27, rel. 29; 2θ 61.01, rel. 17

Crystal structure
```
13
Lattice="8.7765 -2.5076 0.0000 8.7765 2.5076 0.0000 -8.4223 0.0000 9.1888" Properties=species:S:1:pos:R:3 pbc="T T T"
Ba 0.0000 0.0000 0.0000
Ba -5.4765 0.0000 6.4605
Ba -0.2084 0.0000 5.9739
Ba 9.3390 0.0000 3.2150
Ba 14.6072 0.0000 2.7284
Cd 3.5554 0.0000 1.1261
Cd 5.5752 0.0000 8.0627
Sb 6.3197 0.0000 0.0934
Sb 3.2574 0.0000 3.9783
Sb 5.8732 0.0000 5.2105
Sb 2.8109 0.0000 9.0955
O -0.3670 0.0000 2.8752
O 9.4976 0.0000 6.3137
```


Structure and calculated XRD peak list of Ba3CdSi2O8 (a structure optimized by DFT (PBE); Cu Kα (weighted mean of Kα1 and Kα2)).
Intensities are scaled so that the largest is 100.

The 12 most intense peaks (2θ from 10° to 90°), sorted by position:
2θ 21.29, rel. 24; 2θ 29.80, rel. 94; 2θ 30.76, rel. 100; 2θ 37.71, rel. 20; 2θ 43.36, rel. 47; 2θ 52.28, rel. 15; 2θ 54.10, rel. 33; 2θ 54.70, rel. 19; 2θ 61.89, rel. 13; 2θ 64.08, rel. 16; 2θ 70.70, rel. 13; 2θ 72.24, rel. 15

Crystal structure
```
14
Lattice="5.8130 0.0000 0.0000 -2.9065 5.0342 0.0000 0.0000 0.0000 7.4656" Properties=species:S:1:pos:R:3 pbc="T T T"
Ba 0.0000 0.0000 0.0000
Ba 0.0000 3.3561 5.0237
Ba 2.9065 1.6781 2.4418
Cd 0.0000 0.0000 3.7328
Si 0.0000 3.3561 1.6686
Si 2.9065 1.6781 5.7969
O 0.0000 1.8084 2.2824
O -1.3404 4.1300 2.2824
O 0.0000 3.3561 0.0529
O 1.5661 0.9042 5.1832
O 1.3404 4.1300 2.2824
O 2.9065 1.6781 7.4127
O 4.2469 0.9042 5.1832
O 2.9065 3.2258 5.1832
```


Structure and calculated XRD peak list of Ba2UCdO6 (a structure optimized by DFT (PBE); Cu Kα (weighted mean of Kα1 and Kα2)).
Intensities are scaled so that the largest is 100.

The 12 most intense peaks (2θ from 10° to 90°), sorted by position:
2θ 17.54, rel. 9; 2θ 20.29, rel. 5; 2θ 28.84, rel. 100; 2θ 33.96, rel. 5; 2θ 41.25, rel. 29; 2θ 51.11, rel. 42; 2θ 59.75, rel. 18; 2θ 62.79, rel. 2; 2θ 67.68, rel. 19; 2θ 75.19, rel. 6; 2θ 82.44, rel. 22; 2θ 89.57, rel. 3

Crystal structure
```
10
Lattice="0.0000 4.3776 4.3776 4.3776 0.0000 4.3776 4.3776 4.3776 0.0000" Properties=species:S:1:pos:R:3 pbc="T T T"
Ba 2.1888 2.1888 2.1888
Ba 6.5664 6.5664 6.5664
U 0.0000 0.0000 0.0000
Cd 4.3776 4.3776 4.3776
O 4.3776 4.3776 2.0857
O 4.3776 2.0857 4.3776
O 6.6696 4.3776 4.3776
O 2.0857 4.3776 4.3776
O 4.3776 6.6696 4.3776
O 4.3776 4.3776 6.6696
```


Structure and calculated XRD peak list of BaCd2P2 (a structure optimized by DFT (PBE); Cu Kα (weighted mean of Kα1 and Kα2)).
Intensities are scaled so that the largest is 100.

The 12 most intense peaks (2θ from 10° to 90°), sorted by position:
2θ 25.84, rel. 100; 2θ 32.99, rel. 63; 2θ 35.27, rel. 15; 2θ 40.43, rel. 50; 2θ 42.54, rel. 15; 2θ 48.61, rel. 18; 2θ 53.13, rel. 16; 2θ 53.56, rel. 12; 2θ 54.72, rel. 24; 2θ 65.02, rel. 14; 2θ 68.83, rel. 14; 2θ 73.53, rel. 8

Crystal structure
```
5
Lattice="4.4620 0.0000 0.0000 -2.2310 3.8642 0.0000 0.0000 0.0000 7.6331" Properties=species:S:1:pos:R:3 pbc="T T T"
Ba 0.0000 0.0000 0.0000
Cd 0.0000 2.5761 2.8175
Cd 2.2310 1.2881 4.8155
P 0.0000 2.5761 5.5986
P 2.2310 1.2881 2.0345
```


Structure and calculated XRD peak list of BaCd2Pt (a structure optimized by DFT (PBE); Cu Kα (weighted mean of Kα1 and Kα2)).
Intensities are scaled so that the largest is 100.

The 12 most intense peaks (2θ from 10° to 90°), sorted by position:
2θ 15.62, rel. 57; 2θ 29.94, rel. 90; 2θ 30.81, rel. 25; 2θ 32.62, rel. 100; 2θ 33.31, rel. 54; 2θ 37.57, rel. 35; 2θ 38.18, rel. 28; 2θ 38.39, rel. 72; 2θ 39.84, rel. 51; 2θ 44.77, rel. 34; 2θ 52.88, rel. 29; 2θ 60.69, rel. 20

Crystal structure
```
8
Lattice="2.2625 -5.6730 0.0000 2.2625 5.6730 0.0000 0.0000 0.0000 8.4745" Properties=species:S:1:pos:R:3 pbc="T T T"
Ba 2.2625 5.0034 6.3559
Ba 2.2625 -5.0034 2.1186
Cd 2.2625 1.8240 4.7096
Cd 2.2625 1.8240 8.0022
Cd 2.2625 -1.8240 0.4724
Cd 2.2625 -1.8240 3.7649
Pt 2.2625 3.1441 2.1186
Pt 2.2625 -3.1441 6.3559
```


Structure and calculated XRD peak list of BaCd2Sb2 (a structure optimized by DFT (PBE); Cu Kα (weighted mean of Kα1 and Kα2)).
Intensities are scaled so that the largest is 100.

The 12 most intense peaks (2θ from 10° to 90°), sorted by position:
2θ 23.73, rel. 90; 2θ 30.45, rel. 88; 2θ 32.88, rel. 18; 2θ 36.89, rel. 100; 2θ 39.37, rel. 47; 2θ 44.34, rel. 18; 2θ 48.56, rel. 24; 2θ 50.24, rel. 31; 2θ 55.05, rel. 17; 2θ 60.77, rel. 18; 2θ 62.51, rel. 22; 2θ 68.12, rel. 18

Crystal structure
```
5
Lattice="4.8731 0.0000 0.0000 -2.4365 4.2202 0.0000 0.0000 0.0000 8.1716" Properties=species:S:1:pos:R:3 pbc="T T T"
Ba 0.0000 0.0000 0.0000
Cd 0.0000 2.8135 3.0009
Cd 2.4365 1.4067 5.1706
Sb 0.0000 2.8135 6.0214
Sb 2.4365 1.4067 2.1502
```


Structure and calculated XRD peak list of Ba11Cd6Sb12 (a structure optimized by DFT (PBE); Cu Kα (weighted mean of Kα1 and Kα2)).
Intensities are scaled so that the largest is 100.

The 12 most intense peaks (2θ from 10° to 90°), sorted by position:
2θ 26.19, rel. 50; 2θ 26.60, rel. 47; 2θ 26.89, rel. 40; 2θ 27.17, rel. 54; 2θ 27.59, rel. 97; 2θ 28.81, rel. 37; 2θ 28.98, rel. 52; 2θ 29.34, rel. 61; 2θ 29.89, rel. 46; 2θ 34.13, rel. 37; 2θ 36.12, rel. 100; 2θ 37.87, rel. 39

Crystal structure
```
29
Lattice="17.3513 -2.4867 0.0000 17.3513 2.4867 0.0000 -4.5395 0.0000 12.6312" Properties=species:S:1:pos:R:3 pbc="T T T"
Ba 0.0000 0.0000 0.0000
Ba -2.4607 0.0000 8.5785
Ba 1.6165 0.0000 6.4361
Ba 4.2869 0.0000 0.2449
Ba 5.3462 0.0000 4.3777
Ba 9.1264 0.0000 1.7025
Ba 21.0367 0.0000 10.9287
Ba 24.8168 0.0000 8.2535
Ba 25.8761 0.0000 12.3863
Ba 28.5466 0.0000 6.1951
Ba 32.6237 0.0000 4.0527
Cd 4.5311 0.0000 8.4799
Cd 12.7466 0.0000 3.2086
Cd 12.3054 0.0000 9.5960
Cd 17.8576 0.0000 3.0352
Cd 17.4164 0.0000 9.4226
Cd 25.6319 0.0000 4.1513
Sb 1.9322 0.0000 2.9774
Sb 1.5479 0.0000 9.8873
Sb 6.2918 0.0000 10.8218
Sb 8.5943 0.0000 5.7583
Sb 15.1923 0.0000 1.5185
Sb 13.6536 0.0000 6.2357
Sb 16.5095 0.0000 6.3955
Sb 14.9708 0.0000 11.1127
Sb 21.5687 0.0000 6.8729
Sb 23.8712 0.0000 1.8094
Sb 28.6151 0.0000 2.7439
Sb 28.2308 0.0000 9.6538
```


Please write out number 6 again, unchanged.
Structure and calculated XRD peak list of Ba3CdSi2O8 (a structure optimized by DFT (PBE); Cu Kα (weighted mean of Kα1 and Kα2)).
Intensities are scaled so that the largest is 100.

The 12 most intense peaks (2θ from 10° to 90°), sorted by position:
2θ 21.29, rel. 24; 2θ 29.80, rel. 94; 2θ 30.76, rel. 100; 2θ 37.71, rel. 20; 2θ 43.36, rel. 47; 2θ 52.28, rel. 15; 2θ 54.10, rel. 33; 2θ 54.70, rel. 19; 2θ 61.89, rel. 13; 2θ 64.08, rel. 16; 2θ 70.70, rel. 13; 2θ 72.24, rel. 15

Crystal structure
```
14
Lattice="5.8130 0.0000 0.0000 -2.9065 5.0342 0.0000 0.0000 0.0000 7.4656" Properties=species:S:1:pos:R:3 pbc="T T T"
Ba 0.0000 0.0000 0.0000
Ba 0.0000 3.3561 5.0237
Ba 2.9065 1.6781 2.4418
Cd 0.0000 0.0000 3.7328
Si 0.0000 3.3561 1.6686
Si 2.9065 1.6781 5.7969
O 0.0000 1.8084 2.2824
O -1.3404 4.1300 2.2824
O 0.0000 3.3561 0.0529
O 1.5661 0.9042 5.1832
O 1.3404 4.1300 2.2824
O 2.9065 1.6781 7.4127
O 4.2469 0.9042 5.1832
O 2.9065 3.2258 5.1832
```